Diffraction record for Sr2La3Fe4CuO15. The powder diffractogram is calculated, not measured: it uses a cell relaxed with PBE+U and Cu Kα, 1.54184 Å.

Largest 6 diffraction maxima, by angle, 2θ from 5° to 70°:
two_theta  I (rel.)  index
22.72  6  0 1 5
32.34  100  1 1 0
39.89  16  2 0 5
46.39  34  0 2 10
57.69  38  3 0 0
67.70  20  2 2 0

Cell: 5.5383 5.5383 33.8689 Å, 90.00 90.00 120.00°
Space group R-3m (No. 166, hexagonal axes)
Unique sites:
Sr  0.0000  0.0000  0.0990 (multiplicity 6)
La  0.0000  0.0000  0.3022 (multiplicity 6)
La  0.0000  0.0000  0.5000 (multiplicity 3)
Fe  0.0000  0.0000  0.2002 (multiplicity 6)
Fe  0.0000  0.0000  0.3999 (multiplicity 6)
Cu  0.0000  0.0000  0.0000 (multiplicity 3)
O  0.0000  0.5000  0.5000 (multiplicity 9)
O  0.0006  0.5003  0.1007 (multiplicity 18)
O  0.0107  0.5054  0.3012 (multiplicity 18)